# 1
The following is a computed XRD peak list of BaLi2In4Hg. It was derived from DFT lattice parameters and positions (GGA-PBE), using Cu Ka.

Largest 10 diffraction maxima, by angle, 10° ≤ 2θ ≤ 80°:
| Position (°2θ) | I (rel.) | index |
| --- | --- | --- |
| 21.90 | 100 | 0 1 2 |
| 30.78 | 59 | 0 1 8 |
| 35.12 | 80 | 1 0 10 |
| 37.14 | 86 | 1 1 0 |
| 43.53 | 17 | 2 0 2 |
| 48.98 | 16 | 2 0 8 |
| 52.04 | 26 | 0 2 10 |
| 63.03 | 15 | 1 2 8 |
| 65.65 | 25 | 2 1 10 |
| 66.95 | 15 | 3 0 0 |

```
data_BaLi2In4Hg
_space_group_name_H-M_alt 'R -3 m'
_space_group_IT_number 166
_space_group_name_Hall '-R 3 2"'
_cell_length_a 4.8418
_cell_length_b 4.8418
_cell_length_c 32.2277
_cell_angle_alpha 90.00
_cell_angle_beta 90.00
_cell_angle_gamma 120.00
loop_
_atom_site_label
_atom_site_type_symbol
_atom_site_fract_x
_atom_site_fract_y
_atom_site_fract_z
_atom_site_occupancy
Ba1 Ba 0.0000 0.0000 0.0000 1
Li1 Li 0.0000 0.0000 0.2080 1
In1 In 0.0000 0.0000 0.1125 1
In2 In 0.0000 0.0000 0.4057 1
Hg1 Hg 0.0000 0.0000 0.5000 1
```

# 2
The following is a computed XRD peak list of Mg3Zn8Pd4. It was derived from DFT lattice parameters and positions (GGA-PBE), using Cu Ka.

Largest 10 diffraction maxima, by angle, 10° ≤ 2θ ≤ 80°:
| Position (°2θ) | I (rel.) | index |
| --- | --- | --- |
| 14.26 | 6 | 2 0 0 |
| 24.83 | 37 | 2 2 2 |
| 37.63 | 15 | 3 3 3 |
| 41.11 | 100 | 4 4 0 |
| 43.08 | 9 | 5 3 1 |
| 48.62 | 27 | 6 2 2 |
| 59.54 | 10 | 8 0 0 |
| 72.60 | 6 | 9 3 1 |
| 74.90 | 21 | 8 4 4 |
| 76.27 | 5 | 9 3 3 |

```
data_Mg3Zn8Pd4
_space_group_name_H-M_alt 'F m -3 m'
_space_group_IT_number 225
_space_group_name_Hall '-F 4 2 3'
_cell_length_a 12.422
_cell_length_b 12.422
_cell_length_c 12.422
_cell_angle_alpha 90.00
_cell_angle_beta 90.00
_cell_angle_gamma 90.00
loop_
_atom_site_label
_atom_site_type_symbol
_atom_site_fract_x
_atom_site_fract_y
_atom_site_fract_z
_atom_site_occupancy
Mg1 Mg 0.000 0.000 0.221 1
Zn1 Zn 0.122 0.122 0.378 1
Zn2 Zn 0.160 0.160 0.160 1
Pd1 Pd 0.000 0.000 0.000 1
Pd2 Pd 0.000 0.000 0.500 1
Pd3 Pd 0.000 0.250 0.250 1
```

# 3
The following is a computed XRD peak list of Dy4Ge. It was derived from DFT lattice parameters and positions (GGA-PBE), using Cu Ka.

Largest 10 diffraction maxima, by angle, 10° ≤ 2θ ≤ 80°:
| Position (°2θ) | I (rel.) | index |
| --- | --- | --- |
| 16.08 | 5 | 1 0 0 |
| 22.82 | 5 | 1 1 0 |
| 28.04 | 100 | 1 1 1 |
| 32.49 | 82 | 2 0 0 |
| 46.62 | 61 | 2 2 0 |
| 55.29 | 46 | 3 1 1 |
| 57.97 | 21 | 2 2 2 |
| 68.05 | 10 | 4 0 0 |
| 75.15 | 19 | 3 3 1 |
| 77.45 | 27 | 4 2 0 |

```
data_Dy4Ge
_space_group_name_H-M_alt 'P m -3 m'
_space_group_IT_number 221
_space_group_name_Hall '-P 4 2 3'
_cell_length_a 5.511
_cell_length_b 5.511
_cell_length_c 5.511
_cell_angle_alpha 90.00
_cell_angle_beta 90.00
_cell_angle_gamma 90.00
loop_
_atom_site_label
_atom_site_type_symbol
_atom_site_fract_x
_atom_site_fract_y
_atom_site_fract_z
_atom_site_occupancy
Dy1 Dy 0.000 0.000 0.000 1
Dy2 Dy 0.000 0.500 0.500 1
Ge1 Ge 0.500 0.500 0.500 1
```

# 4
The following is a computed XRD peak list of CeGeIr2. It was derived from DFT lattice parameters and positions (GGA-PBE), using Cu Ka.

Largest 10 diffraction maxima, by angle, 10° ≤ 2θ ≤ 80°:
| Position (°2θ) | I (rel.) | index |
| --- | --- | --- |
| 27.61 | 28 | 0 0 3 |
| 31.58 | 23 | 1 1 0 |
| 32.94 | 100 | 1 1 1 |
| 35.70 | 62 | 1 0 3 |
| 36.75 | 47 | 1 1 2 |
| 43.66 | 32 | 1 0 4 |
| 45.27 | 65 | 2 0 0 |
| 49.50 | 36 | 1 1 4 |
| 58.95 | 29 | 2 1 3 |
| 65.95 | 21 | 2 2 0 |

```
data_CeGeIr2
_space_group_name_H-M_alt 'P 4/n m m'
_space_group_IT_number 129
_cell_length_a 4.006
_cell_length_b 4.006
_cell_length_c 9.692
_cell_angle_alpha 90.00
_cell_angle_beta 90.00
_cell_angle_gamma 90.00
loop_
_space_group_symop_operation_xyz
'x,y,z'
'-x,-y,-z'
'-y+1/2,x,z'
'y+1/2,-x,-z'
'-x+1/2,-y+1/2,z'
'x+1/2,y+1/2,-z'
'y,-x+1/2,z'
'-y,x+1/2,-z'
'x+1/2,-y,-z'
'-x+1/2,y,z'
'-y,-x,-z'
'y,x,z'
'-x,y+1/2,-z'
'x,-y+1/2,z'
'y+1/2,x+1/2,-z'
'-y+1/2,-x+1/2,z'
loop_
_atom_site_label
_atom_site_type_symbol
_atom_site_fract_x
_atom_site_fract_y
_atom_site_fract_z
_atom_site_occupancy
Ce1 Ce 0.250 0.250 0.203 1
Ge1 Ge 0.250 0.250 0.647 1
Ir1 Ir 0.250 0.250 0.900 1
Ir2 Ir 0.250 0.750 0.500 1
```

# 5
The following is a computed XRD peak list of Pm4Dy5Y4. It was derived from DFT lattice parameters and positions (GGA-PBE), using Cu Ka.

Largest 10 diffraction maxima, by angle, 10° ≤ 2θ ≤ 80°:
| Position (°2θ) | I (rel.) | index |
| --- | --- | --- |
| 13.68 | 3 | 2 0 0 |
| 30.54 | 100 | 2 3 1 |
| 35.36 | 34 | 5 1 0 |
| 35.52 | 17 | 0 0 2 |
| 50.88 | 12 | 4 6 0 |
| 50.99 | 24 | 5 1 2 |
| 60.51 | 28 | 7 4 1 |
| 60.71 | 14 | 2 3 3 |
| 63.58 | 12 | 4 6 2 |
| 74.81 | 4 | 10 2 0 |

```
data_Pm4Dy5Y4
_space_group_name_H-M_alt 'I 4/m'
_space_group_IT_number 87
_space_group_name_Hall '-I 4'
_cell_length_a 12.942
_cell_length_b 12.942
_cell_length_c 5.055
_cell_angle_alpha 90.00
_cell_angle_beta 90.00
_cell_angle_gamma 90.00
loop_
_atom_site_label
_atom_site_type_symbol
_atom_site_fract_x
_atom_site_fract_y
_atom_site_fract_z
_atom_site_occupancy
Pm1 Pm 0.077 0.616 0.000 1
Dy1 Dy 0.000 0.000 0.000 1
Dy2 Dy 0.038 0.810 0.500 1
Y1 Y 0.153 0.229 0.000 1
```

# 6
The following is a computed XRD peak list of Ce8Co3IrCl4. It was derived from DFT lattice parameters and positions (GGA-PBE), using Cu Ka.

Largest 10 diffraction maxima, by angle, 10° ≤ 2θ ≤ 80°:
| Position (°2θ) | I (rel.) | index |
| --- | --- | --- |
| 12.06 | 37 | 0 0 3 |
| 27.27 | 18 | 2 0 2 |
| 30.75 | 100 | 0 2 4 |
| 38.88 | 20 | 0 2 7 |
| 42.12 | 30 | 2 0 8 |
| 45.90 | 36 | 2 2 0 |
| 52.99 | 13 | 2 0 11 |
| 56.26 | 17 | 4 0 4 |
| 64.04 | 8 | 0 4 8 |
| 75.45 | 14 | 2 4 4 |

```
data_Ce8Co3IrCl4
_space_group_name_H-M_alt 'R -3 m'
_space_group_IT_number 166
_space_group_name_Hall '-R 3 2"'
_cell_length_a 7.9087
_cell_length_b 7.9087
_cell_length_c 22.0178
_cell_angle_alpha 90.00
_cell_angle_beta 90.00
_cell_angle_gamma 120.00
loop_
_atom_site_label
_atom_site_type_symbol
_atom_site_fract_x
_atom_site_fract_y
_atom_site_fract_z
_atom_site_occupancy
Ce1 Ce 0.0000 0.0000 0.2327 1
Ce2 Ce 0.0090 0.5045 0.7651 1
Co1 Co 0.0000 0.5000 0.5000 1
Ir1 Ir 0.0000 0.0000 0.5000 1
Cl1 Cl 0.0000 0.0000 0.0000 1
Cl2 Cl 0.0000 0.5000 0.0000 1
```

# 7
The following is a computed XRD peak list of Sr3Zn2Sn3. It was derived from DFT lattice parameters and positions (GGA-PBE), using Cu Ka.

Largest 10 diffraction maxima, by angle, 10° ≤ 2θ ≤ 80°:
| Position (°2θ) | I (rel.) | index |
| --- | --- | --- |
| 25.74 | 61 | 1 1 3 |
| 29.24 | 39 | 0 4 0 |
| 29.37 | 100 | 1 1 4 |
| 29.49 | 70 | 1 3 1 |
| 31.84 | 40 | 0 0 6 |
| 36.12 | 59 | 1 3 4 |
| 38.25 | 64 | 2 0 0 |
| 39.63 | 73 | 1 3 5 |
| 39.82 | 35 | 0 4 5 |
| 56.42 | 31 | 2 4 5 |

```
data_Sr3Zn2Sn3
_space_group_name_H-M_alt 'C m c m'
_space_group_IT_number 63
_space_group_name_Hall '-C 2c 2'
_cell_length_a 4.706
_cell_length_b 12.217
_cell_length_c 16.863
_cell_angle_alpha 90.00
_cell_angle_beta 90.00
_cell_angle_gamma 90.00
loop_
_atom_site_label
_atom_site_type_symbol
_atom_site_fract_x
_atom_site_fract_y
_atom_site_fract_z
_atom_site_occupancy
Sr1 Sr 0.000 0.076 0.250 1
Sr2 Sr 0.000 0.366 0.100 1
Zn1 Zn 0.000 0.346 0.620 1
Sn1 Sn 0.000 0.093 0.052 1
Sn2 Sn 0.000 0.208 0.750 1
```